Diffraction record for K2Al3CuAu12. The XRD peak list is theoretical, not measured: it uses a cell relaxed with PBE and Cu Kα X-rays.
Neutral-atom scattering factors, no anomalous dispersion.

Peak list (10 most intense, 5° ≤ 2θ ≤ 70°, most intense first)
- 2θ = 29.27°, I 1000
- 2θ = 21.35°, I 642
- 2θ = 37.31°, I 434
- 2θ = 43.49°, I 412
- 2θ = 44.57°, I 366
- 2θ = 40.20°, I 328
- 2θ = 12.24°, I 284
- 2θ = 48.19°, I 200
- 2θ = 14.51°, I 198
- 2θ = 42.18°, I 178

Structure:
```
data_K2Al3CuAu12
_chemical_formula_sum 'K6 Al9 Cu3 Au36'
_cell_length_a 8.9730
_cell_length_b 8.9730
_cell_length_c 19.7152
_cell_angle_alpha 90.00
_cell_angle_beta 90.00
_cell_angle_gamma 120.00
_space_group_name_H-M_alt 'R -3 m'
_space_group_IT_number 166
_space_group_name_Hall '-R 3 2"'
loop_
_atom_site_label
_atom_site_fract_x
_atom_site_fract_y
_atom_site_fract_z
_atom_site_occupancy
K1 0.0000 0.0000 0.1009 1
Al1 0.0000 0.5000 0.0000 1
Cu1 0.0000 0.0000 0.5000 1
Au1 0.0226 0.5113 0.1290 1
Au2 0.0980 0.5490 0.3914 1
```